Entry 1:
The following is a calculated X-ray diffraction stick pattern of Pr5RuCl5. It was derived from a DFT-relaxed cell (GGA-PBE, Alexandria), using Cu Kα (λ = 1.5418 Å).
Intensities are scaled so that the largest is 100.

Most intense lines, 2θ from 15° to 90°, in order of rising 2θ:
2θ 16.8, I = 20; 2θ 25.6, I = 26; 2θ 27.0, I = 24; 2θ 30.1, I = 43; 2θ 30.6, I = 100; 2θ 41.7, I = 15; 2θ 43.4, I = 30; 2θ 43.8, I = 36; 2θ 45.2, I = 15; 2θ 52.5, I = 16

Structure:
abc: 12.716 5.853 8.672
angles: 90.00 108.90 90.00
Space group C2/m (No. 12)
Inequivalent atoms, fractional coordinates:
1 Pr 0.000 0.000 0.000 [2 per cell]
2 Pr 0.151 0.500 0.301 [4 per cell]
3 Pr 0.172 0.500 0.860 [4 per cell]
4 Ru 0.000 0.500 0.000 [2 per cell]
5 Cl 0.000 0.500 0.500 [2 per cell]
6 Cl 0.145 0.000 0.787 [4 per cell]
7 Cl 0.167 0.000 0.359 [4 per cell]

Entry 2:
The following is a calculated X-ray diffraction stick pattern of Pr6TlRu2Cl3. It was derived from a DFT-relaxed cell (GGA-PBE, Alexandria), using Cu Kα (λ = 1.5418 Å).
Intensities are scaled so that the largest is 100.

Most intense lines, 2θ from 15° to 90°, in order of rising 2θ:
2θ 28.8, I = 100; 2θ 29.1, I = 50; 2θ 36.7, I = 18; 2θ 39.8, I = 36; 2θ 40.0, I = 17; 2θ 42.4, I = 18; 2θ 42.9, I = 31; 2θ 50.3, I = 10; 2θ 52.2, I = 17; 2θ 70.4, I = 8

Structure:
abc: 7.270 12.795 8.027
angles: 90.00 107.44 90.00
Space group C2/m (No. 12)
Inequivalent atoms, fractional coordinates:
1 Pr 0.197 0.000 0.218 [4 per cell]
2 Pr 0.249 0.188 0.788 [8 per cell]
3 Tl 0.000 0.500 0.000 [2 per cell]
4 Ru 0.000 0.164 0.000 [4 per cell]
5 Cl 0.000 0.000 0.500 [2 per cell]
6 Cl 0.000 0.327 0.500 [4 per cell]

Entry 3:
The following is a calculated X-ray diffraction stick pattern of Pr7S6Cl9. It was derived from a DFT-relaxed cell (GGA-PBE, Alexandria), using Cu Kα (λ = 1.5418 Å).
Intensities are scaled so that the largest is 100.

Most intense lines, 2θ from 15° to 90°, in order of rising 2θ:
2θ 22.1, I = 100; 2θ 25.2, I = 10; 2θ 25.4, I = 12; 2θ 31.9, I = 22; 2θ 36.0, I = 14; 2θ 36.2, I = 12; 2θ 36.7, I = 17; 2θ 36.8, I = 22; 2θ 42.8, I = 17; 2θ 43.9, I = 13

Structure:
abc: 24.756 6.804 7.056
angles: 90.00 97.87 90.00
Space group P2/c (No. 13)
Inequivalent atoms, fractional coordinates:
1 Pr 0.000 0.211 0.250 [2 per cell]
2 Pr 0.143 0.198 0.872 [4 per cell]
3 Pr 0.284 0.195 0.364 [4 per cell]
4 Pr 0.422 0.218 0.007 [4 per cell]
5 S 0.072 0.031 0.573 [4 per cell]
6 S 0.216 0.048 0.615 [4 per cell]
7 S 0.360 0.050 0.690 [4 per cell]
8 Cl 0.061 0.462 0.939 [4 per cell]
9 Cl 0.190 0.436 0.227 [4 per cell]
10 Cl 0.321 0.419 0.036 [4 per cell]
11 Cl 0.443 0.392 0.381 [4 per cell]
12 Cl 0.500 0.051 0.750 [2 per cell]